[1]
This entry pairs a crystal structure of Ce5Co2Au4 with its calculated XRD peak list. Radiation: Cu Ka. Structure: the PBE geometry in Alexandria.

Peak list (6 most intense, 15 to 90 degrees two-theta, in order of rising 2θ)
2θ/deg	I/Imax
34.5	100
36.1	63
37.1	36
37.5	32
37.9	35
38.7	34

Unit cell a=7.564 b=17.697 c=3.558 alpha=90.00 beta=90.00 gamma=90.00
Positions (direct):
1 Ce 0.000 0.000 0.000
2 Ce 0.137 0.417 0.000
3 Ce 0.244 0.717 0.000
4 Ce 0.256 0.217 0.000
5 Ce 0.363 0.917 0.000
6 Ce 0.500 0.500 0.000
7 Ce 0.637 0.083 0.000
8 Ce 0.744 0.783 0.000
9 Ce 0.756 0.283 0.000
10 Ce 0.863 0.583 0.000
11 Co 0.045 0.308 0.500
12 Co 0.455 0.808 0.500
13 Co 0.545 0.192 0.500
14 Co 0.955 0.692 0.500
15 Au 0.065 0.845 0.500
16 Au 0.202 0.570 0.500
17 Au 0.298 0.070 0.500
18 Au 0.435 0.345 0.500
19 Au 0.565 0.655 0.500
20 Au 0.702 0.930 0.500
21 Au 0.798 0.430 0.500
22 Au 0.935 0.155 0.500

[2]
This entry pairs a crystal structure of La9CeNd4 with its calculated XRD peak list. Radiation: Cu Ka. Structure: the PBE geometry in Alexandria.

Peak list (6 most intense, 15 to 90 degrees two-theta, in order of rising 2θ)
2θ/deg	I/Imax
25.6	16
31.2	100
31.3	18
31.6	34
50.7	22
54.7	15

Unit cell a=10.128 b=10.128 c=11.414 alpha=90.00 beta=90.00 gamma=120.00
Positions (direct):
1 La 0.073 0.537 0.250
2 La 0.209 0.419 0.543
3 La 0.209 0.419 0.957
4 La 0.209 0.791 0.543
5 La 0.209 0.791 0.957
6 La 0.419 0.209 0.043
7 La 0.419 0.209 0.457
8 La 0.463 0.537 0.250
9 La 0.463 0.927 0.250
10 La 0.537 0.073 0.750
11 La 0.537 0.463 0.750
12 La 0.581 0.791 0.543
13 La 0.581 0.791 0.957
14 La 0.791 0.209 0.043
15 La 0.791 0.209 0.457
16 La 0.791 0.581 0.043
17 La 0.791 0.581 0.457
18 La 0.927 0.463 0.750
19 Ce 0.333 0.667 0.750
20 Ce 0.667 0.333 0.250
21 Nd 0.000 0.000 0.000
22 Nd 0.000 0.000 0.500
23 Nd 0.114 0.228 0.250
24 Nd 0.114 0.886 0.250
25 Nd 0.228 0.114 0.750
26 Nd 0.772 0.886 0.250
27 Nd 0.886 0.114 0.750
28 Nd 0.886 0.772 0.750

[3]
This entry pairs a crystal structure of LiTh2Zn3 with its calculated XRD peak list. Radiation: Cu Ka. Structure: the PBE geometry in Alexandria.

Peak list (6 most intense, 15 to 90 degrees two-theta, in order of rising 2θ)
2θ/deg	I/Imax
21.9	55
34.4	100
38.4	53
52.5	31
66.9	30
68.1	20

Unit cell a=9.374 b=8.803 c=5.792 alpha=76.87 beta=66.14 gamma=36.99
Positions (direct):
1 Li 0.168 0.168 0.832
2 Li 0.832 0.832 0.168
3 Th 0.248 0.752 0.752
4 Th 0.250 0.250 0.250
5 Th 0.750 0.750 0.750
6 Th 0.752 0.248 0.248
7 Zn 0.167 0.666 0.334
8 Zn 0.334 0.334 0.666
9 Zn 0.334 0.833 0.167
10 Zn 0.666 0.167 0.833
11 Zn 0.666 0.666 0.334
12 Zn 0.833 0.334 0.666

[4]
This entry pairs a crystal structure of PrNd7Er4 with its calculated XRD peak list. Radiation: Cu Ka. Structure: the PBE geometry in Alexandria.

Peak list (6 most intense, 15 to 90 degrees two-theta, in order of rising 2θ)
2θ/deg	I/Imax
28.4	36
30.6	51
31.3	100
33.0	91
49.9	40
59.7	46

Unit cell a=6.340 b=7.313 c=9.008 alpha=90.00 beta=76.43 gamma=89.97
Positions (direct):
1 Pr 0.000 0.000 0.000
2 Nd 0.000 0.500 0.000
3 Nd 0.223 0.000 0.335
4 Nd 0.281 0.252 0.663
5 Nd 0.500 0.255 0.002
6 Nd 0.500 0.745 0.998
7 Nd 0.719 0.748 0.337
8 Nd 0.777 0.000 0.665
9 Er 0.218 0.500 0.336
10 Er 0.278 0.745 0.666
11 Er 0.722 0.255 0.334
12 Er 0.782 0.500 0.664

[5]
This entry pairs a crystal structure of K3Pa2NbAs6 with its calculated XRD peak list. Radiation: Cu Ka. Structure: the PBE geometry in Alexandria.

Peak list (6 most intense, 15 to 90 degrees two-theta, in order of rising 2θ)
2θ/deg	I/Imax
29.4	100
37.0	29
40.1	32
44.0	36
45.6	19
50.2	20

Unit cell a=7.124 b=7.124 c=8.098 alpha=98.45 beta=98.45 gamma=120.00
Positions (direct):
1 K 0.000 0.000 0.000
2 K 0.331 0.669 0.000
3 K 0.669 0.331 0.000
4 Pa 0.166 0.834 0.500
5 Pa 0.834 0.166 0.500
6 Nb 0.500 0.500 0.500
7 As 0.120 0.437 0.310
8 As 0.247 0.247 0.691
9 As 0.437 0.120 0.310
10 As 0.563 0.880 0.690
11 As 0.753 0.753 0.309
12 As 0.880 0.563 0.690